No. 1
Computed XRD peak list of Pa2BePt3 for copper Kα, from a cell relaxed with PBE.
Kinematic intensities with the Lorentz-polarization factor, no thermal factor.

The 10 most intense peaks (5 to 70 degrees two-theta), most intense first:
| d/Å | 2θ (°) | Rel. int. | (hkl) |
| --- | --- | --- | --- |
| 2.535 | 35.4 | 100 | 1 1 1 |
| 2.223 | 40.6 | 48 | 0 1 3 |
| 2.573 | 34.9 | 40 | 1 0 2 |
| 2.153 | 42.0 | 28 | 0 2 0 |
| 1.651 | 55.7 | 21 | 1 2 2 |
| 1.357 | 69.2 | 21 | 2 1 3 |
| 2.208 | 40.9 | 15 | 1 1 2 |
| 1.714 | 53.5 | 14 | 2 0 0 |
| 1.693 | 54.2 | 13 | 1 0 4 |
| 2.888 | 31.0 | 12 | 0 1 2 |

Cell and atoms:
Cell lengths 3.4274, 4.3052, 7.7860 Å; angles 90.00, 90.00, 90.00 degrees
Space group Pmm2 (No. 25)
Asymmetric unit:
Pa  0.0000  0.0000  0.0000 [1 per cell]
Pa  0.0000  0.5000  0.4913 [1 per cell]
Be  0.5000  0.5000  0.8216 [1 per cell]
Pt  0.5000  0.0000  0.3490 [1 per cell]
Pt  0.5000  0.0000  0.7017 [1 per cell]
Pt  0.5000  0.5000  0.1213 [1 per cell]

---

No. 2
Computed XRD peak list of PaBePt2 for copper Kα, from a cell relaxed with PBE.
Kinematic intensities with the Lorentz-polarization factor, no thermal factor.

The 10 most intense peaks (5 to 70 degrees two-theta), most intense first:
| d/Å | 2θ (°) | Rel. int. | (hkl) |
| --- | --- | --- | --- |
| 2.557 | 35.1 | 100 | 1 0 4 |
| 2.275 | 39.6 | 77 | 0 1 5 |
| 2.024 | 44.8 | 74 | 1 1 0 |
| 3.413 | 26.1 | 68 | 1 0 1 |
| 1.587 | 58.1 | 24 | 0 2 4 |
| 1.512 | 61.3 | 22 | 2 0 5 |
| 1.662 | 55.3 | 13 | 0 0 9 |
| 1.741 | 52.6 | 11 | 0 2 1 |
| 3.174 | 28.1 | 10 | 0 1 2 |
| 1.650 | 55.7 | 7 | 0 1 8 |

Cell and atoms:
Cell lengths 4.0480, 4.0480, 14.9557 Å; angles 90.00, 90.00, 120.00 degrees
Space group R-3m (No. 166, hexagonal axes)
Asymmetric unit:
Pa  0.0000  0.0000  0.0000 [3 per cell]
Be  0.0000  0.0000  0.5000 [3 per cell]
Pt  0.0000  0.0000  0.2201 [6 per cell]